Record 1
Simulated powder X-ray diffraction pattern of NdPa2Os9 for Cu Kα (weighted mean of Kα1 and Kα2), from DFT lattice parameters and positions (PBE).
Neutral-atom scattering factors, no anomalous dispersion.

Top 8 peaks for 2θ from 10° to 90°, low angle first:
h k l, Position (°2θ), d/Å, Rel. int.
0 1 8, 33.18, 2.700, 28.2
1 1 0, 33.87, 2.647, 27.4
0 2 1, 39.45, 2.284, 30.9
1 1 6, 39.61, 2.275, 100.0
0 0 12, 40.50, 2.227, 23.4
2 0 5, 42.93, 2.107, 38.7
3 0 6, 64.46, 1.446, 24.4
2 2 0, 71.24, 1.324, 30.2

Atomic structure:
```
data_NdPa2Os9
_chemical_formula_sum 'Nd3 Pa6 Os27'
_symmetry_space_group_name_H-M 'R -3 m'
_symmetry_Int_Tables_number 166
_symmetry_space_group_name_Hall '-R 3 2"'
_cell_length_a 5.2939
_cell_length_b 5.2939
_cell_length_c 26.7258
_cell_angle_alpha 90.00
_cell_angle_beta 90.00
_cell_angle_gamma 120.00
loop_
_atom_site_label
_atom_site_fract_x
_atom_site_fract_y
_atom_site_fract_z
_atom_site_occupancy
Nd1 0.0000 0.0000 0.0000 1
Pa1 0.0000 0.0000 0.1396 1
Os1 0.0000 0.0000 0.3375 1
Os2 0.0000 0.0000 0.5000 1
Os3 0.0061 0.5031 0.9173 1
```



Record 2
Simulated powder X-ray diffraction pattern of LiMg3Tl3 for Cu Kα (weighted mean of Kα1 and Kα2), from DFT lattice parameters and positions (PBE).
Neutral-atom scattering factors, no anomalous dispersion.

Top 8 peaks for 2θ from 10° to 90°, low angle first:
h k l, Position (°2θ), d/Å, Rel. int.
1 0 0, 12.71, 6.963, 35.4
0 2 0, 24.63, 3.614, 29.8
2 0 0, 25.59, 3.482, 57.0
1 2 0, 27.81, 3.208, 15.2
2 0 -2, 35.81, 2.507, 100.0
2 0 2, 37.17, 2.419, 17.3
4 2 0, 58.88, 1.568, 14.0
4 2 -2, 64.36, 1.448, 21.3

Atomic structure:
```
data_LiMg3Tl3
_chemical_formula_sum 'Li2 Mg6 Tl6'
_symmetry_space_group_name_H-M 'P 1 2/m 1'
_symmetry_Int_Tables_number 10
_cell_length_a 6.963
_cell_length_b 7.228
_cell_length_c 6.973
_cell_angle_alpha 90.00
_cell_angle_beta 92.05
_cell_angle_gamma 90.00
loop_
_symmetry_equiv_pos_as_xyz
'x,y,z'
'-x,-y,-z'
'-x,y,-z'
'x,-y,z'
loop_
_atom_site_label
_atom_site_fract_x
_atom_site_fract_y
_atom_site_fract_z
_atom_site_occupancy
Li1 0.244 0.000 0.256 1
Mg1 0.258 0.500 0.242 1
Mg2 0.273 0.500 0.773 1
Mg3 0.305 0.000 0.805 1
Tl1 0.000 0.239 0.500 1
Tl2 0.000 0.241 0.000 1
Tl3 0.500 0.241 0.500 1
```



Record 3
Simulated powder X-ray diffraction pattern of Li2Pm2TmSi2 for Cu Kα (weighted mean of Kα1 and Kα2), from DFT lattice parameters and positions (PBE).
Neutral-atom scattering factors, no anomalous dispersion.

Top 8 peaks for 2θ from 10° to 90°, low angle first:
h k l, Position (°2θ), d/Å, Rel. int.
1 0 1, 23.65, 3.763, 100.0
0 0 9, 28.36, 3.147, 21.8
1 0 7, 32.34, 2.768, 54.1
0 1 8, 34.65, 2.589, 69.3
1 1 0, 41.19, 2.192, 49.6
1 1 9, 50.77, 1.798, 23.2
2 0 8, 54.89, 1.673, 18.6
1 2 8, 70.87, 1.330, 17.3

Atomic structure:
```
data_Li2Pm2TmSi2
_chemical_formula_sum 'Li6 Pm6 Tm3 Si6'
_symmetry_space_group_name_H-M 'R -3 m'
_symmetry_Int_Tables_number 166
_symmetry_space_group_name_Hall '-R 3 2"'
_cell_length_a 4.3835
_cell_length_b 4.3835
_cell_length_c 28.3154
_cell_angle_alpha 90.00
_cell_angle_beta 90.00
_cell_angle_gamma 120.00
loop_
_atom_site_label
_atom_site_fract_x
_atom_site_fract_y
_atom_site_fract_z
_atom_site_occupancy
Li1 0.0000 0.0000 0.1129 1
Pm1 0.0000 0.0000 0.3776 1
Tm1 0.0000 0.0000 0.5000 1
Si1 0.0000 0.0000 0.2275 1
```



Record 4
Simulated powder X-ray diffraction pattern of Li2Bi2Pd7 for Cu Kα (weighted mean of Kα1 and Kα2), from DFT lattice parameters and positions (PBE).
Neutral-atom scattering factors, no anomalous dispersion.

Top 8 peaks for 2θ from 10° to 90°, low angle first:
h k l, Position (°2θ), d/Å, Rel. int.
0 2 0, 15.42, 5.744, 38.1
1 2 1, 28.13, 3.172, 38.7
0 2 2, 29.13, 3.066, 32.2
1 1 2, 32.75, 2.735, 45.1
1 4 1, 39.30, 2.292, 69.0
1 3 2, 39.73, 2.268, 100.0
2 0 0, 40.36, 2.235, 52.3
1 2 3, 45.49, 1.994, 26.9

Atomic structure:
```
data_Li2Bi2Pd7
_chemical_formula_sum 'Li4 Bi4 Pd14'
_symmetry_space_group_name_H-M 'I m m 2'
_symmetry_Int_Tables_number 44
_cell_length_a 4.470
_cell_length_b 11.489
_cell_length_c 7.251
_cell_angle_alpha 90.00
_cell_angle_beta 90.00
_cell_angle_gamma 90.00
loop_
_symmetry_equiv_pos_as_xyz
'x,y,z'
'-x,-y,z'
'-x,y,z'
'x,-y,z'
'x+1/2,y+1/2,z+1/2'
'-x+1/2,-y+1/2,z+1/2'
'-x+1/2,y+1/2,z+1/2'
'x+1/2,-y+1/2,z+1/2'
loop_
_atom_site_label
_atom_site_fract_x
_atom_site_fract_y
_atom_site_fract_z
_atom_site_occupancy
Li1 0.000 0.000 0.000 1
Li2 0.000 0.500 0.192 1
Bi1 0.000 0.215 0.206 1
Pd1 0.000 0.000 0.387 1
Pd2 0.000 0.130 0.709 1
Pd3 0.000 0.362 0.908 1
Pd4 0.000 0.371 0.498 1
```



Record 5
Simulated powder X-ray diffraction pattern of Tb3Si2Ru2 for Cu Kα (weighted mean of Kα1 and Kα2), from DFT lattice parameters and positions (PBE).
Neutral-atom scattering factors, no anomalous dispersion.

Top 8 peaks for 2θ from 10° to 90°, low angle first:
h k l, Position (°2θ), d/Å, Rel. int.
0 2 2, 26.90, 3.315, 39.1
1 1 4, 33.27, 2.693, 55.1
2 1 0, 34.21, 2.621, 47.0
1 2 3, 34.86, 2.574, 87.4
0 2 4, 35.62, 2.520, 52.0
1 3 0, 38.96, 2.312, 63.4
2 1 3, 39.85, 2.262, 100.0
0 0 6, 40.26, 2.240, 45.5

Atomic structure:
```
data_Tb3Si2Ru2
_chemical_formula_sum 'Tb12 Si8 Ru8'
_symmetry_space_group_name_H-M 'P b c m'
_symmetry_Int_Tables_number 57
_cell_length_a 5.582
_cell_length_b 7.621
_cell_length_c 13.442
_cell_angle_alpha 90.00
_cell_angle_beta 90.00
_cell_angle_gamma 90.00
loop_
_symmetry_equiv_pos_as_xyz
'x,y,z'
'-x,-y,-z'
'-x,-y,z+1/2'
'x,y,-z+1/2'
'x,-y+1/2,-z'
'-x,y+1/2,z'
'-x,y+1/2,-z+1/2'
'x,-y+1/2,z+1/2'
loop_
_atom_site_label
_atom_site_fract_x
_atom_site_fract_y
_atom_site_fract_z
_atom_site_occupancy
Tb1 0.128 0.242 0.250 1
Tb2 0.356 0.600 0.101 1
Si1 0.105 0.250 0.000 1
Si2 0.361 0.607 0.750 1
Ru1 0.147 0.528 0.591 1
```



Record 6
Simulated powder X-ray diffraction pattern of Sc4SnHg for Cu Kα (weighted mean of Kα1 and Kα2), from DFT lattice parameters and positions (PBE).
Neutral-atom scattering factors, no anomalous dispersion.

Top 8 peaks for 2θ from 10° to 90°, low angle first:
h k l, Position (°2θ), d/Å, Rel. int.
1 1 -1, 20.56, 4.321, 42.6
1 1 1, 21.96, 4.047, 84.9
4 0 0, 22.86, 3.890, 39.2
3 1 -1, 25.05, 3.555, 100.0
2 0 2, 30.93, 2.891, 38.9
2 2 -1, 35.41, 2.535, 44.8
5 1 1, 37.64, 2.390, 70.5
1 1 -3, 42.64, 2.120, 50.6

Atomic structure:
```
data_Sc4SnHg
_chemical_formula_sum 'Sc16 Sn4 Hg4'
_symmetry_space_group_name_H-M 'C 1 2/c 1'
_symmetry_Int_Tables_number 15
_cell_length_a 15.870
_cell_length_b 5.667
_cell_length_c 6.869
_cell_angle_alpha 90.00
_cell_angle_beta 101.30
_cell_angle_gamma 90.00
loop_
_symmetry_equiv_pos_as_xyz
'x,y,z'
'-x,-y,-z'
'-x,y,-z+1/2'
'x,-y,z+1/2'
'x+1/2,y+1/2,z'
'-x+1/2,-y+1/2,-z'
'-x+1/2,y+1/2,-z+1/2'
'x+1/2,-y+1/2,z+1/2'
loop_
_atom_site_label
_atom_site_fract_x
_atom_site_fract_y
_atom_site_fract_z
_atom_site_occupancy
Sc1 0.071 0.119 0.431 1
Sc2 0.148 0.375 0.106 1
Sn1 0.000 0.374 0.750 1
Hg1 0.250 0.250 0.500 1
```